For InNi15, a PBE-relaxed structure gives the computed XRD peak list in this record (CuKα).

Structural model:
```
InNi15
1.0
4.233 0.000 0.000
0.000 32.818 0.000
-1.314 0.000 4.023
In Ni
2 30
Direct
0.000 0.201 0.250
0.000 0.799 0.750
0.000 0.253 0.750
0.000 0.292 0.250
0.000 0.330 0.750
0.000 0.368 0.250
0.000 0.405 0.750
0.000 0.443 0.250
0.000 0.481 0.750
0.000 0.519 0.250
0.000 0.557 0.750
0.000 0.595 0.250
0.000 0.632 0.750
0.000 0.670 0.250
0.000 0.708 0.750
0.000 0.747 0.250
0.500 0.218 0.750
0.500 0.253 0.250
0.500 0.292 0.750
0.500 0.330 0.250
0.500 0.368 0.750
0.500 0.405 0.250
0.500 0.443 0.750
0.500 0.482 0.250
0.500 0.518 0.750
0.500 0.557 0.250
0.500 0.595 0.750
0.500 0.632 0.250
0.500 0.670 0.750
0.500 0.708 0.250
0.500 0.747 0.750
0.500 0.782 0.250
```

Top 12 peaks for 10° ≤ 2θ ≤ 90°, sorted by position:
2θ (°)	d_spacing	I/Imax	index
10.78	8.205	22.8	0 4 0
42.28	2.137	16.5	1 12 -1
44.58	2.032	75.2	1 13 -1
45.08	2.011	100.0	2 0 0
45.17	2.007	17.0	0 1 2
46.97	1.935	20.7	1 14 -1
51.61	1.771	47.6	1 13 1
53.49	1.713	24.9	2 0 -2
53.57	1.711	9.9	2 1 -2
53.76	1.705	15.6	1 14 1
76.72	1.242	11.0	2 0 2
77.53	1.231	26.0	3 13 -1